Starting from a cell relaxed with GGA+U, the powder diffraction line list of MgFe2P2H18O18 was simulated for Cu Kα.
Neutral-atom scattering factors, no anomalous dispersion.

Atomic structure:
Cell lengths 5.3901, 7.2695, 10.3467 Å; angles 97.48, 101.46, 111.03 degrees
Element x y z (fractional)
Mg 0.0000 0.0000 0.0000
Fe 0.5000 0.0000 0.5000
Fe 0.5000 0.5000 0.5000
P 0.0197 0.9258 0.6731
P 0.9803 0.0742 0.3269
H 0.0867 0.6538 0.8173
H 0.0900 0.5664 0.2695
H 0.1560 0.6756 0.5172
H 0.1639 0.3850 0.9419
H 0.3112 0.4890 0.7310
H 0.3115 0.9618 0.2046
H 0.3158 0.4025 0.0924
H 0.3897 0.3032 0.6824
H 0.4631 0.9874 0.8776
H 0.5369 0.0126 0.1224
H 0.6103 0.6968 0.3176
H 0.6842 0.5975 0.9076
H 0.6885 0.0382 0.7954
H 0.6888 0.5110 0.2690
H 0.8361 0.6150 0.0581
H 0.8440 0.3244 0.4828
H 0.9100 0.4336 0.7305
H 0.9133 0.3462 0.1827
O 0.0790 0.5130 0.8029
O 0.0962 0.9044 0.8212
O 0.1150 0.2873 0.4238
O 0.1804 0.9640 0.3416
O 0.2321 0.3103 0.0035
O 0.2875 0.0512 0.6353
O 0.3309 0.7015 0.4908
O 0.3367 0.9703 0.1126
O 0.4561 0.4549 0.6962
O 0.5439 0.5451 0.3038
O 0.6633 0.0297 0.8874
O 0.6691 0.2985 0.5092
O 0.7125 0.9488 0.3647
O 0.7679 0.6897 0.9965
O 0.8196 0.0360 0.6584
O 0.8850 0.7127 0.5762
O 0.9038 0.0956 0.1788
O 0.9210 0.4870 0.1971

The 8 most intense peaks (2θ from 10° to 90°), in order of rising 2θ:
13.38 deg, intensity 81
17.91 deg, intensity 72
18.11 deg, intensity 42
22.00 deg, intensity 48
22.45 deg, intensity 46
26.94 deg, intensity 100
28.41 deg, intensity 55
34.22 deg, intensity 36